No. 1
For AgHg, a cell relaxed with GGA-PBE gives the simulated PXRD pattern in this record (copper Kα).

Largest 10 diffraction maxima, in order of rising 2θ, 2θ = 5–70°:
23.94°, I 26; 29.78°, I 39; 30.29°, I 48; 36.12°, I 58; 36.88°, I 100; 41.55°, I 61; 42.70°, I 48; 47.48°, I 22; 47.83°, I 27; 65.45°, I 19

abc: 3.0883 4.9738 5.7558
angles: 90.00 103.69 90.00
Element x y z (fractional)
1 Ag 0.2146 0.2500 0.4112
2 Ag 0.7854 0.7500 0.5888
3 Hg 0.0815 0.7500 0.1343
4 Hg 0.9185 0.2500 0.8657

---

No. 2
For Ag3SnTe4, a cell relaxed with GGA-PBE gives the simulated PXRD pattern in this record (copper Kα).

Largest 9 diffraction maxima, in order of rising 2θ, 2θ = 5–70°:
23.89°, I 100; 39.45°, I 53; 39.63°, I 26; 46.49°, I 16; 46.81°, I 32; 56.75°, I 4; 57.29°, I 9; 62.70°, I 13; 62.96°, I 7

abc: 6.4323 6.4323 12.9774
angles: 90.00 90.00 90.00
Element x y z (fractional)
1 Ag 0.0000 0.0000 0.0000
2 Ag 0.0000 0.5000 0.2500
3 Ag 0.0000 0.5000 0.7500
4 Ag 0.5000 0.0000 0.2500
5 Ag 0.5000 0.0000 0.7500
6 Ag 0.5000 0.5000 0.5000
7 Sn 0.0000 0.0000 0.5000
8 Sn 0.5000 0.5000 0.0000
9 Te 0.2473 0.2473 0.1272
10 Te 0.2473 0.7527 0.8728
11 Te 0.2527 0.2527 0.6272
12 Te 0.2527 0.7473 0.3728
13 Te 0.7473 0.2527 0.3728
14 Te 0.7473 0.7473 0.6272
15 Te 0.7527 0.2473 0.8728
16 Te 0.7527 0.7527 0.1272

---

No. 3
For Ce5Th5Ge6, a cell relaxed with GGA-PBE gives the simulated PXRD pattern in this record (copper Kα).

Largest 10 diffraction maxima, in order of rising 2θ, 2θ = 5–70°:
24.66°, I 47; 29.38°, I 24; 30.51°, I 30; 31.60°, I 32; 33.81°, I 46; 33.96°, I 98; 34.58°, I 51; 35.68°, I 100; 53.70°, I 24; 55.03°, I 25

abc: 6.0806 8.9516 8.9516
angles: 119.62 90.00 90.00
Element x y z (fractional)
1 Ce 0.0000 0.0000 0.0000
2 Ce 0.2478 0.5980 0.9306
3 Ce 0.2478 0.9306 0.5980
4 Ce 0.7522 0.5980 0.9306
5 Ce 0.7522 0.9306 0.5980
6 Th 0.0000 0.2633 0.5207
7 Th 0.0000 0.5207 0.2633
8 Th 0.5000 0.0084 0.2641
9 Th 0.5000 0.2641 0.0084
10 Th 0.5000 0.5214 0.5214
11 Ge 0.0000 0.2621 0.8801
12 Ge 0.0000 0.6473 0.6473
13 Ge 0.0000 0.8801 0.2621
14 Ge 0.5000 0.2639 0.6502
15 Ge 0.5000 0.6502 0.2639
16 Ge 0.5000 0.8788 0.8788

---

No. 4
For Ce3PrOs8, a cell relaxed with GGA-PBE gives the simulated PXRD pattern in this record (copper Kα).

Largest 10 diffraction maxima, in order of rising 2θ, 2θ = 5–70°:
20.09°, I 16; 33.10°, I 19; 39.03°, I 100; 40.84°, I 50; 47.52°, I 10; 59.12°, I 5; 63.06°, I 8; 63.13°, I 25; 69.41°, I 15; 69.52°, I 15

abc: 9.3852 9.3852 9.3852
angles: 33.49 33.49 33.49
Element x y z (fractional)
1 Ce 0.0000 0.0000 0.0000
2 Ce 0.1248 0.1248 0.1248
3 Ce 0.4996 0.4996 0.4996
4 Pr 0.6246 0.6246 0.6246
5 Os 0.0616 0.0616 0.5611
6 Os 0.0616 0.5611 0.0616
7 Os 0.0643 0.5619 0.5619
8 Os 0.3119 0.3119 0.3119
9 Os 0.5611 0.0616 0.0616
10 Os 0.5619 0.0643 0.5619
11 Os 0.5619 0.5619 0.0643
12 Os 0.8118 0.8118 0.8118

---

No. 5
For In3HgI3, a cell relaxed with GGA-PBE gives the simulated PXRD pattern in this record (copper Kα).

Largest 10 diffraction maxima, in order of rising 2θ, 2θ = 5–70°:
22.55°, I 33; 26.28°, I 39; 27.70°, I 64; 28.69°, I 100; 28.75°, I 99; 33.93°, I 48; 33.98°, I 49; 36.02°, I 59; 36.20°, I 45; 46.04°, I 38

abc: 8.5165 8.6649 9.6261
angles: 82.95 69.04 68.28
Element x y z (fractional)
1 In 0.0029 0.2209 0.0710
2 In 0.3198 0.4557 0.2634
3 In 0.3408 0.8906 0.3947
4 In 0.6592 0.1094 0.6053
5 In 0.6802 0.5443 0.7366
6 In 0.9971 0.7791 0.9290
7 Hg 0.1641 0.8373 0.1646
8 Hg 0.8359 0.1627 0.8354
9 I 0.0215 0.2574 0.4018
10 I 0.3087 0.4101 0.9301
11 I 0.3641 0.9100 0.7303
12 I 0.6359 0.0900 0.2697
13 I 0.6913 0.5899 0.0699
14 I 0.9785 0.7426 0.5982

---

No. 6
For Tb3Al5Ni, a cell relaxed with GGA-PBE gives the simulated PXRD pattern in this record (copper Kα).

Largest 10 diffraction maxima, in order of rising 2θ, 2θ = 5–70°:
20.52°, I 50; 25.50°, I 50; 29.53°, I 30; 32.95°, I 100; 36.23°, I 66; 39.40°, I 26; 41.73°, I 23; 49.55°, I 17; 54.70°, I 18; 59.04°, I 32

abc: 6.9861 6.9861 4.3286
angles: 90.00 90.00 120.00
Element x y z (fractional)
1 Tb 0.0000 0.4028 0.0000
2 Tb 0.4028 0.0000 0.0000
3 Tb 0.5972 0.5972 0.0000
4 Al 0.0000 0.7703 0.5000
5 Al 0.2297 0.2297 0.5000
6 Al 0.3333 0.6667 0.5000
7 Al 0.6667 0.3333 0.5000
8 Al 0.7703 0.0000 0.5000
9 Ni 0.0000 0.0000 0.0000

---

No. 7
For Ca3Mg4Zn11, a cell relaxed with GGA-PBE gives the simulated PXRD pattern in this record (copper Kα).

Largest 10 diffraction maxima, in order of rising 2θ, 2θ = 5–70°:
14.46°, I 60; 22.00°, I 21; 34.65°, I 53; 35.04°, I 24; 36.29°, I 100; 38.59°, I 89; 41.29°, I 47; 43.31°, I 36; 44.83°, I 31; 68.34°, I 19

abc: 9.3293 9.3293 9.3988
angles: 90.00 90.00 120.00
Element x y z (fractional)
1 Ca 0.1988 0.3976 0.2500
2 Ca 0.1988 0.8012 0.2500
3 Ca 0.3976 0.1988 0.7500
4 Ca 0.6024 0.8012 0.2500
5 Ca 0.8012 0.1988 0.7500
6 Ca 0.8012 0.6024 0.7500
7 Mg 0.0000 0.0000 0.2500
8 Mg 0.0000 0.0000 0.7500
9 Mg 0.0000 0.5000 0.0000
10 Mg 0.0000 0.5000 0.5000
11 Mg 0.5000 0.0000 0.0000
12 Mg 0.5000 0.0000 0.5000
13 Mg 0.5000 0.5000 0.0000
14 Mg 0.5000 0.5000 0.5000
15 Zn 0.1451 0.5726 0.7500
16 Zn 0.1537 0.3075 0.5858
17 Zn 0.1537 0.3075 0.9142
18 Zn 0.1537 0.8463 0.5858
19 Zn 0.1537 0.8463 0.9142
20 Zn 0.3075 0.1537 0.0858
21 Zn 0.3075 0.1537 0.4142
22 Zn 0.3333 0.6667 0.5083
23 Zn 0.3333 0.6667 0.9917
24 Zn 0.4274 0.5726 0.7500
25 Zn 0.4274 0.8549 0.7500
26 Zn 0.5726 0.1451 0.2500
27 Zn 0.5726 0.4274 0.2500
28 Zn 0.6667 0.3333 0.0083
29 Zn 0.6667 0.3333 0.4917
30 Zn 0.6925 0.8463 0.5858
31 Zn 0.6925 0.8463 0.9142
32 Zn 0.8463 0.1537 0.0858
33 Zn 0.8463 0.1537 0.4142
34 Zn 0.8463 0.6925 0.0858
35 Zn 0.8463 0.6925 0.4142
36 Zn 0.8549 0.4274 0.2500